Entry 1:
Theoretical X-ray powder pattern
Compound: Cu5Si3
Radiation: a wavelength of 1.5418 Å
Structure: a PBE-relaxed structure
Lines closer than 0.1° are merged.

Top 12 peaks for 5° ≤ 2θ ≤ 70°, most intense first:
2theta, I (rel.), (hkl)
42.5, 100, 2 2 1
48.1, 17, 0 4 0
49.7, 15, 4 0 0
50.7, 15, 0 0 2
23.5, 9, 0 2 0
34.9, 7, 2 0 1
16.8, 5, 1 1 0
60.8, 3, 2 4 1
30.1, 2, 1 1 1
55.7, 2, 4 2 0
56.6, 2, 0 2 2
24.3, 1, 2 0 0

Structural model:
Cell: 7.336 7.560 3.601 Å, 90.00 90.00 90.00°
Space group Cmmm (No. 65)
One atom of each set of equivalent atoms:
1 Cu 0.000 0.000 0.000
2 Cu 0.000 0.249 0.500
3 Cu 0.250 0.250 0.000
4 Si 0.000 0.500 0.000
5 Si 0.243 0.000 0.500

Entry 2:
Theoretical X-ray powder pattern
Compound: PuTiO3
Radiation: a wavelength of 1.5418 Å
Structure: a PBE-relaxed structure
Lines closer than 0.1° are merged.

Top 12 peaks for 5° ≤ 2θ ≤ 70°, most intense first:
2theta, I (rel.), (hkl)
36.8, 100, 1 3 1
29.3, 91, 1 1 1
28.4, 50, 1 3 0
18.0, 47, 1 1 0
32.8, 44, 2 0 0
45.8, 43, 2 4 0
22.9, 41, 0 0 1
40.4, 39, 2 0 1
31.0, 38, 0 4 0
38.9, 32, 0 4 1
67.6, 25, 2 4 2
46.9, 25, 0 0 2

Structural model:
Cell: 5.458 11.535 3.876 Å, 90.00 90.00 90.00°
Space group Cmmm (No. 65)
One atom of each set of equivalent atoms:
1 Pu 0.000 0.146 0.000
2 Ti 0.000 0.379 0.500
3 O 0.000 0.356 0.000
4 O 0.241 0.000 0.500
5 O 0.250 0.250 0.500